Record 1
PH2Pd11: computed XRD peak list (CuKα), based on a crystal structure in Alexandria, relaxed with GGA-PBE.
Lines closer than 0.1° are merged.

Structural model:
```
data_PH2Pd11
_cell_length_a 7.722
_cell_length_b 7.848
_cell_length_c 6.800
_cell_angle_alpha 90.00
_cell_angle_beta 90.00
_cell_angle_gamma 90.00
_space_group_name_H-M_alt 'C m m m'
_space_group_IT_number 65
_space_group_name_Hall '-C 2 2'
loop_
_atom_site_label
_atom_site_fract_x
_atom_site_fract_y
_atom_site_fract_z
P1 0.000 0.000 0.000
H1 0.000 0.255 0.500
Pd1 0.000 0.250 0.200
Pd2 0.000 0.500 0.500
Pd3 0.249 0.500 0.199
Pd4 0.250 0.250 0.500
```

Largest 10 diffraction maxima, in order of rising 2θ, 2θ from 10° to 90°:
d = 2.752 Å, intensity 25, hkl 2 2 0
d = 2.551 Å, intensity 49, hkl 2 2 1
d = 2.267 Å, intensity 27, hkl 0 0 3
d = 2.139 Å, intensity 100, hkl 2 2 2
d = 1.962 Å, intensity 27, hkl 0 4 0
d = 1.930 Å, intensity 25, hkl 4 0 0
d = 1.483 Å, intensity 14, hkl 0 4 3
d = 1.376 Å, intensity 16, hkl 4 4 0
d = 1.219 Å, intensity 24, hkl 2 2 5
d = 1.164 Å, intensity 14, hkl 2 6 2


Record 2
PmPH2Pd: computed XRD peak list (CuKα), based on a crystal structure in Alexandria, relaxed with GGA-PBE.
Lines closer than 0.1° are merged.

Structural model:
```
data_PmPH2Pd
_cell_length_a 3.861
_cell_length_b 3.861
_cell_length_c 4.970
_cell_angle_alpha 90.00
_cell_angle_beta 90.00
_cell_angle_gamma 90.00
_space_group_name_H-M_alt 'P 4 m m'
_space_group_IT_number 99
loop_
_space_group_symop_operation_xyz
'x,y,z'
'-y,x,z'
'-x,-y,z'
'y,-x,z'
'-x,y,z'
'y,x,z'
'x,-y,z'
'-y,-x,z'
loop_
_atom_site_label
_atom_site_fract_x
_atom_site_fract_y
_atom_site_fract_z
Pm1 0.000 0.000 0.000
P1 0.500 0.500 0.856
H1 0.000 0.500 0.356
Pd1 0.500 0.500 0.364
```

Largest 10 diffraction maxima, in order of rising 2θ, 2θ from 10° to 90°:
d = 4.970 Å, intensity 24, hkl 0 0 1
d = 3.049 Å, intensity 100, hkl 1 0 1
d = 2.730 Å, intensity 70, hkl 1 1 0
d = 2.393 Å, intensity 15, hkl 1 1 1
d = 2.089 Å, intensity 38, hkl 1 0 2
d = 1.931 Å, intensity 26, hkl 2 0 0
d = 1.838 Å, intensity 18, hkl 1 1 2
d = 1.631 Å, intensity 32, hkl 2 1 1
d = 1.524 Å, intensity 13, hkl 2 0 2
d = 1.417 Å, intensity 32, hkl 2 1 2


Record 3
Pm4P3H: computed XRD peak list (CuKα), based on a crystal structure in Alexandria, relaxed with GGA-PBE.
Lines closer than 0.1° are merged.

Structural model:
```
data_Pm4P3H
_cell_length_a 8.138
_cell_length_b 11.422
_cell_length_c 4.077
_cell_angle_alpha 90.00
_cell_angle_beta 90.00
_cell_angle_gamma 90.00
_space_group_name_H-M_alt 'C m m m'
_space_group_IT_number 65
_space_group_name_Hall '-C 2 2'
loop_
_atom_site_label
_atom_site_fract_x
_atom_site_fract_y
_atom_site_fract_z
Pm1 0.000 0.249 0.000
Pm2 0.241 0.000 0.500
P1 0.000 0.000 0.000
P2 0.250 0.250 0.500
H1 0.000 0.500 0.000
```

Largest 10 diffraction maxima, in order of rising 2θ, 2θ from 10° to 90°:
d = 3.316 Å, intensity 100, hkl 0 2 1
d = 2.880 Å, intensity 67, hkl 2 0 1
d = 2.856 Å, intensity 33, hkl 0 4 0
d = 2.037 Å, intensity 24, hkl 0 0 2
d = 2.028 Å, intensity 48, hkl 2 4 1
d = 1.735 Å, intensity 32, hkl 2 2 2
d = 1.725 Å, intensity 16, hkl 0 6 1
d = 1.658 Å, intensity 25, hkl 0 4 2
d = 1.316 Å, intensity 13, hkl 2 6 2
d = 1.286 Å, intensity 16, hkl 4 4 2


Record 4
Pm2P2HRu2: computed XRD peak list (CuKα), based on a crystal structure in Alexandria, relaxed with GGA-PBE.
Lines closer than 0.1° are merged.

Structural model:
```
data_Pm2P2HRu2
_cell_length_a 10.726
_cell_length_b 4.051
_cell_length_c 6.834
_cell_angle_alpha 90.00
_cell_angle_beta 126.60
_cell_angle_gamma 90.00
_space_group_name_H-M_alt 'C 1 2/m 1'
_space_group_IT_number 12
loop_
_space_group_symop_operation_xyz
'x,y,z'
'-x,-y,-z'
'-x,y,-z'
'x,-y,z'
'x+1/2,y+1/2,z'
'-x+1/2,-y+1/2,-z'
'-x+1/2,y+1/2,-z'
'x+1/2,-y+1/2,z'
loop_
_atom_site_label
_atom_site_fract_x
_atom_site_fract_y
_atom_site_fract_z
Pm1 0.059 0.000 0.310
P1 0.188 0.500 0.731
H1 0.000 0.500 0.000
Ru1 0.200 0.500 0.090
```

Largest 10 diffraction maxima, in order of rising 2θ, 2θ from 10° to 90°:
d = 3.666 Å, intensity 41, hkl 1 1 0
d = 2.743 Å, intensity 33, hkl 1 1 1
d = 2.695 Å, intensity 48, hkl 2 0 1
d = 2.674 Å, intensity 73, hkl 3 1 -1
d = 2.611 Å, intensity 37, hkl 4 0 -2
d = 2.525 Å, intensity 100, hkl 1 1 -2
d = 2.342 Å, intensity 45, hkl 3 1 0
d = 2.026 Å, intensity 37, hkl 0 2 0
d = 1.619 Å, intensity 21, hkl 2 2 1
d = 1.492 Å, intensity 25, hkl 1 1 3